No. 1
Diffraction record for DyH9Ru2. The X-ray powder pattern is calculated, not measured: it uses a cell relaxed with PBE and λ = 1.5418 Å (Cu Kα).
Lines closer than 0.1° are merged.

Peak list (12 most intense, 2θ = 10–90°, by intensity)
2θ (°), I (rel.), index
30.26, 1000, 2 1 1
44.11, 362, 3 2 1
22.01, 294, 2 0 0
44.90, 243, 4 0 0
41.69, 185, 2 0 2
38.44, 147, 1 1 2
50.40, 139, 3 1 2
64.76, 114, 5 2 1
62.92, 113, 4 2 2
54.83, 96, 1 0 3
82.03, 88, 4 3 3
82.36, 83, 2 2 4

Atomic structure:
```
data_DyH9Ru2
_chemical_formula_sum 'Dy4 H36 Ru8'
_cell_length_a 8.0757
_cell_length_b 8.0757
_cell_length_c 5.1349
_cell_angle_alpha 90.00
_cell_angle_beta 90.00
_cell_angle_gamma 90.00
_space_group_name_H-M_alt 'I 41/a m d'
_space_group_IT_number 141
loop_
_space_group_symop_operation_xyz
'x,y,z'
'-x,-y,-z'
'-y+1/4,x+3/4,z+1/4'
'y+1/4,-x+3/4,-z+1/4'
'-x+1/2,-y,z+1/2'
'x+1/2,y,-z+1/2'
'y+1/4,-x+1/4,z+3/4'
'-y+1/4,x+1/4,-z+3/4'
'x,-y,-z'
'-x,y,z'
'-y+1/4,-x+1/4,-z+3/4'
'y+1/4,x+1/4,z+3/4'
'-x+1/2,y,-z+1/2'
'x+1/2,-y,z+1/2'
'y+1/4,x+3/4,-z+1/4'
'-y+1/4,-x+3/4,z+1/4'
'x+1/2,y+1/2,z+1/2'
'-x+1/2,-y+1/2,-z+1/2'
'-y+3/4,x+1/4,z+3/4'
'y+3/4,-x+1/4,-z+3/4'
'-x,-y+1/2,z'
'x,y+1/2,-z'
'y+3/4,-x+3/4,z+1/4'
'-y+3/4,x+3/4,-z+1/4'
'x+1/2,-y+1/2,-z+1/2'
'-x+1/2,y+1/2,z+1/2'
'-y+3/4,-x+3/4,-z+1/4'
'y+3/4,x+3/4,z+1/4'
'-x,y+1/2,-z'
'x,-y+1/2,z'
'y+3/4,x+1/4,-z+3/4'
'-y+3/4,-x+1/4,z+3/4'
loop_
_atom_site_label
_atom_site_fract_x
_atom_site_fract_y
_atom_site_fract_z
Dy1 0.0000 0.2500 0.3750
H1 0.0000 0.2500 0.8750
H2 0.1160 0.0506 0.7090
Ru1 0.0000 0.0000 0.0000
```

---

No. 2
Diffraction record for NaInTe2. The X-ray powder pattern is calculated, not measured: it uses a cell relaxed with PBE and λ = 1.5418 Å (Cu Kα).
Lines closer than 0.1° are merged.

Peak list (12 most intense, 2θ = 10–90°, by intensity)
2θ (°), I (rel.), index
25.85, 1000, 1 0 1
32.04, 778, 1 0 2
10.71, 750, 0 0 1
41.23, 460, 1 1 0
40.48, 451, 0 1 3
53.15, 182, 0 2 2
49.31, 169, 0 2 1
69.40, 160, 2 1 2
71.53, 160, 1 1 5
42.72, 156, 1 1 1
59.15, 144, 2 0 3
74.65, 142, 1 2 3

Atomic structure:
```
data_NaInTe2
_chemical_formula_sum 'Na1 In1 Te2'
_cell_length_a 4.3790
_cell_length_b 4.3790
_cell_length_c 8.2634
_cell_angle_alpha 90.00
_cell_angle_beta 90.00
_cell_angle_gamma 120.00
_space_group_name_H-M_alt 'P 3 m 1'
_space_group_IT_number 156
_space_group_name_Hall 'P 3 -2"'
loop_
_atom_site_label
_atom_site_fract_x
_atom_site_fract_y
_atom_site_fract_z
Na1 0.0000 0.0000 0.0000
In1 0.6667 0.3333 0.5614
Te1 0.0000 0.0000 0.3721
Te2 0.3333 0.6667 0.7758
```

---

No. 3
Diffraction record for MnTl3. The X-ray powder pattern is calculated, not measured: it uses a cell relaxed with PBE and λ = 1.5418 Å (Cu Kα).
Lines closer than 0.1° are merged.

Peak list (12 most intense, 2θ = 10–90°, by intensity)
2θ (°), I (rel.), index
34.99, 1000, 1 0 2
65.64, 276, 2 0 2
30.19, 263, 1 0 0
53.62, 189, 1 1 0
54.40, 159, 1 0 5
31.45, 146, 1 0 1
26.05, 139, 0 0 3
89.68, 128, 2 1 2
62.75, 100, 2 0 0
46.86, 93, 1 0 4
87.71, 87, 1 1 7
60.55, 86, 1 1 3

Atomic structure:
```
data_MnTl3
_chemical_formula_sum 'Mn1 Tl3'
_cell_length_a 3.4186
_cell_length_b 3.4186
_cell_length_c 10.2616
_cell_angle_alpha 90.00
_cell_angle_beta 90.00
_cell_angle_gamma 120.00
_space_group_name_H-M_alt 'P -6 m 2'
_space_group_IT_number 187
_space_group_name_Hall 'P -6 2'
loop_
_atom_site_label
_atom_site_fract_x
_atom_site_fract_y
_atom_site_fract_z
Mn1 0.0000 0.0000 0.0000
Tl1 0.0000 0.0000 0.5000
Tl2 0.6667 0.3333 0.2182
```